Diffraction record for Mg5CdSn2Rh2. The powder XRD pattern is theoretical, not measured: it uses a cell relaxed with GGA-PBE and Cu Kα.
Neutral-atom scattering factors, no anomalous dispersion.

Top 10 peaks for 10 to 90 degrees two-theta, sorted by position:
20.45°, I = 68
29.57°, I = 43
33.62°, I = 18
36.22°, I = 100
38.87°, I = 22
39.86°, I = 28
41.60°, I = 28
51.86°, I = 18
58.23°, I = 13
72.40°, I = 13

Structure:
```
data_Mg5CdSn2Rh2
_symmetry_space_group_name_H-M 'P 4/m b m'
_symmetry_Int_Tables_number 127
_symmetry_space_group_name_Hall '-P 4 2ab'
_cell_length_a 9.5534
_cell_length_b 9.5534
_cell_length_c 4.3423
_cell_angle_alpha 90.00
_cell_angle_beta 90.00
_cell_angle_gamma 90.00
loop_
_atom_site_label
_atom_site_type_symbol
_atom_site_fract_x
_atom_site_fract_y
_atom_site_fract_z
Mg1 Mg 0.0000 0.5000 0.0000
Mg2 Mg 0.0802 0.2081 0.0000
Cd1 Cd 0.0000 0.0000 0.5000
Sn1 Sn 0.1708 0.6708 0.5000
Rh1 Rh 0.1201 0.3799 0.5000
```